# Na3CaGaP2SO12
Computed powder XRD pattern, copper Kα. Input: a DFT-relaxed cell (PBE, the Materials Project).

Structure:
a b c (Å): 9.059 9.059 9.275
angles (deg): 120.27 120.27 61.37
Sites, in units of the cell vectors:
Na  0.066  0.934  0.500
Na  0.194  0.679  0.128
Na  0.294  0.439  0.720
Na  0.439  0.294  0.220
Na  0.679  0.194  0.628
Na  0.934  0.066  0.000
Ca  0.341  0.823  0.970
Ca  0.823  0.341  0.470
Ga  0.043  0.497  0.244
Ga  0.497  0.043  0.744
P  0.135  0.230  0.874
P  0.230  0.135  0.374
P  0.407  0.638  0.558
P  0.638  0.407  0.058
S  0.745  0.917  0.153
S  0.917  0.745  0.653
O  0.071  0.771  0.826
O  0.073  0.160  0.411
O  0.127  0.404  0.047
O  0.160  0.073  0.911
O  0.204  0.307  0.348
O  0.232  0.627  0.381
O  0.252  0.966  0.212
O  0.307  0.204  0.848
O  0.370  0.649  0.706
O  0.404  0.127  0.547
O  0.436  0.818  0.602
O  0.467  0.557  0.013
O  0.557  0.467  0.513
O  0.588  0.887  0.126
O  0.627  0.232  0.881
O  0.649  0.370  0.206
O  0.718  0.959  0.004
O  0.761  0.910  0.676
O  0.771  0.071  0.326
O  0.818  0.436  0.102
O  0.887  0.588  0.626
O  0.910  0.761  0.176
O  0.959  0.718  0.504
O  0.966  0.252  0.712

Most intense lines, 2θ = 5–70°, low angle first:
2theta	d/Å	I_rel
13.5	6.548	81
19.1	4.635	68
19.6	4.527	48
22.5	3.949	59
22.6	3.926	80
23.2	3.830	59
30.5	2.931	96
30.9	2.897	93
31.6	2.834	75
33.7	2.657	100